# 1
Diffraction record for Tl2BiAsS4. The powder XRD pattern is computed, not measured: it uses a crystal structure in Alexandria, relaxed with GGA-PBE and Cu Kα.
Neutral-atom scattering factors, no anomalous dispersion.

Atomic structure:
```
data_Tl2BiAsS4
_chemical_formula_sum 'Tl8 Bi4 As4 S16'
_cell_length_a 8.1454
_cell_length_b 8.4625
_cell_length_c 11.7429
_cell_angle_alpha 90.00
_cell_angle_beta 90.00
_cell_angle_gamma 90.00
_space_group_name_H-M_alt 'I m m a'
_space_group_IT_number 74
_space_group_name_Hall '-I 2b 2'
loop_
_atom_site_label
_atom_site_fract_x
_atom_site_fract_y
_atom_site_fract_z
_atom_site_occupancy
Tl1 0.0000 0.0000 0.0000 1
Tl2 0.2500 0.2500 0.2500 1
Bi1 0.0000 0.0000 0.5000 1
As1 0.2500 0.2500 0.7500 1
S1 0.0000 0.0416 0.7419 1
S2 0.2332 0.2500 0.5218 1
```

Principal peaks in the range 2θ from 10° to 80°, sorted by position:
- hkl 0 2 2, 2θ 26.0, I = 47
- hkl 2 0 2, 2θ 26.6, I = 43
- hkl 2 2 0, 2θ 30.5, I = 100
- hkl 0 4 0, 2θ 42.7, I = 12
- hkl 2 2 4, 2θ 43.6, I = 48
- hkl 2 4 2, 2θ 51.1, I = 18
- hkl 4 2 2, 2θ 52.2, I = 15
- hkl 0 4 4, 2θ 53.4, I = 13
- hkl 4 0 4, 2θ 54.9, I = 13
- hkl 4 4 4, 2θ 71.9, I = 21


# 2
Diffraction record for BiSbAs. The powder XRD pattern is computed, not measured: it uses a crystal structure in Alexandria, relaxed with GGA-PBE and Cu Kα.
Neutral-atom scattering factors, no anomalous dispersion.

Atomic structure:
```
data_BiSbAs
_chemical_formula_sum 'Bi2 Sb2 As2'
_cell_length_a 4.2533
_cell_length_b 6.3394
_cell_length_c 6.8513
_cell_angle_alpha 90.00
_cell_angle_beta 107.62
_cell_angle_gamma 90.00
_space_group_name_H-M_alt 'P 1 2 1'
_space_group_IT_number 3
_space_group_name_Hall 'P 2y'
loop_
_atom_site_label
_atom_site_fract_x
_atom_site_fract_y
_atom_site_fract_z
_atom_site_occupancy
Bi1 0.1558 0.0000 0.3104 1
Sb1 0.1604 0.5082 0.3200 1
As1 0.5000 0.0683 0.0000 1
As2 0.5000 0.4692 0.0000 1
```

Principal peaks in the range 2θ from 10° to 80°, sorted by position:
- hkl 0 2 0, 2θ 28.2, I = 100
- hkl 1 0 1, 2θ 29.2, I = 96
- hkl 1 0 -2, 2θ 29.5, I = 94
- hkl 1 2 1, 2θ 41.0, I = 71
- hkl 1 2 -2, 2θ 41.2, I = 70
- hkl 0 0 3, 2θ 41.5, I = 34
- hkl 2 0 -1, 2θ 42.5, I = 36
- hkl 0 2 3, 2θ 50.9, I = 35
- hkl 2 2 -1, 2θ 51.8, I = 37
- hkl 2 2 2, 2θ 68.1, I = 22


# 3
Diffraction record for BiSbAs. The powder XRD pattern is computed, not measured: it uses a crystal structure in Alexandria, relaxed with GGA-PBE and Cu Kα.
Neutral-atom scattering factors, no anomalous dispersion.

Atomic structure:
```
data_BiSbAs
_chemical_formula_sum 'Bi4 Sb4 As4'
_cell_length_a 19.4844
_cell_length_b 4.2372
_cell_length_c 4.5583
_cell_angle_alpha 90.00
_cell_angle_beta 97.62
_cell_angle_gamma 90.00
_space_group_name_H-M_alt 'C 1 m 1'
_space_group_IT_number 8
_space_group_name_Hall 'C -2y'
loop_
_atom_site_label
_atom_site_fract_x
_atom_site_fract_y
_atom_site_fract_z
_atom_site_occupancy
Bi1 0.0000 0.0000 0.0000 1
Bi2 0.0381 0.5000 0.5492 1
Sb1 0.1952 0.5000 0.6498 1
Sb2 0.3434 0.0000 0.3009 1
As1 0.2035 0.0000 0.2606 1
As2 0.3524 0.5000 0.9123 1
```

Principal peaks in the range 2θ from 10° to 80°, sorted by position:
- hkl 4 0 0, 2θ 18.4, I = 14
- hkl 2 0 1, 2θ 22.8, I = 14
- hkl 6 0 0, 2θ 27.7, I = 40
- hkl 1 1 -1, 2θ 28.8, I = 100
- hkl 5 1 1, 2θ 38.9, I = 35
- hkl 2 0 -2, 2θ 39.8, I = 18
- hkl 7 1 -1, 2θ 41.9, I = 29
- hkl 0 2 0, 2θ 42.7, I = 18
- hkl 6 2 0, 2θ 51.6, I = 21
- hkl 2 2 -2, 2θ 59.7, I = 11


# 4
Diffraction record for Sm6Bi2SbAs3. The powder XRD pattern is computed, not measured: it uses a crystal structure in Alexandria, relaxed with GGA-PBE and Cu Kα.
Neutral-atom scattering factors, no anomalous dispersion.

Atomic structure:
```
data_Sm6Bi2SbAs3
_chemical_formula_sum 'Sm12 Bi4 Sb2 As6'
_cell_length_a 19.1147
_cell_length_b 4.3463
_cell_length_c 8.7857
_cell_angle_alpha 90.00
_cell_angle_beta 104.21
_cell_angle_gamma 90.00
_space_group_name_H-M_alt 'C 1 2/m 1'
_space_group_IT_number 12
_space_group_name_Hall '-C 2y'
loop_
_atom_site_label
_atom_site_fract_x
_atom_site_fract_y
_atom_site_fract_z
_atom_site_occupancy
Sm1 0.0049 0.0000 0.2421 1
Sm2 0.1610 0.5000 0.0960 1
Sm3 0.1700 0.5000 0.5700 1
Bi1 0.1669 0.0000 0.8338 1
Sb1 0.0000 0.5000 0.5000 1
As1 0.0000 0.5000 0.0000 1
As2 0.1668 0.0000 0.3338 1
```

Principal peaks in the range 2θ from 10° to 80°, sorted by position:
- hkl 6 0 0, 2θ 28.9, I = 100
- hkl 5 1 -1, 2θ 31.5, I = 7
- hkl 7 1 -2, 2θ 41.1, I = 37
- hkl 5 1 2, 2θ 41.6, I = 38
- hkl 6 2 0, 2θ 51.4, I = 20
- hkl 2 2 -4, 2θ 59.9, I = 12
- hkl 8 2 -4, 2θ 67.5, I = 16
- hkl 4 2 4, 2θ 68.2, I = 17
- hkl 3 1 6, 2θ 75.5, I = 12
- hkl 5 3 2, 2θ 75.9, I = 7


# 5
Diffraction record for Bi2AsSe4. The powder XRD pattern is computed, not measured: it uses a crystal structure in Alexandria, relaxed with GGA-PBE and Cu Kα.
Neutral-atom scattering factors, no anomalous dispersion.

Atomic structure:
```
data_Bi2AsSe4
_chemical_formula_sum 'Bi4 As2 Se8'
_cell_length_a 7.2439
_cell_length_b 7.2439
_cell_length_c 8.2206
_cell_angle_alpha 90.00
_cell_angle_beta 90.00
_cell_angle_gamma 90.00
_space_group_name_H-M_alt 'I -4 2 m'
_space_group_IT_number 121
_space_group_name_Hall 'I -4 2'
loop_
_atom_site_label
_atom_site_fract_x
_atom_site_fract_y
_atom_site_fract_z
_atom_site_occupancy
Bi1 0.0000 0.5000 0.2500 1
As1 0.0000 0.0000 0.0000 1
Se1 0.2480 0.2480 0.0860 1
```

Principal peaks in the range 2θ from 10° to 80°, sorted by position:
- hkl 1 1 0, 2θ 17.3, I = 52
- hkl 1 1 2, 2θ 27.8, I = 100
- hkl 2 0 2, 2θ 33.0, I = 48
- hkl 2 2 0, 2θ 35.0, I = 57
- hkl 3 1 2, 2θ 45.3, I = 54
- hkl 4 0 0, 2θ 50.4, I = 20
- hkl 2 0 4, 2θ 51.1, I = 26
- hkl 4 2 2, 2θ 61.5, I = 16
- hkl 5 1 2, 2θ 70.1, I = 15
- hkl 4 2 4, 2θ 74.6, I = 18


# 6
Diffraction record for Sm6BiAs3Se2. The powder XRD pattern is computed, not measured: it uses a crystal structure in Alexandria, relaxed with GGA-PBE and Cu Kα.
Neutral-atom scattering factors, no anomalous dispersion.

Atomic structure:
```
data_Sm6BiAs3Se2
_chemical_formula_sum 'Sm12 Bi2 As6 Se4'
_cell_length_a 18.6200
_cell_length_b 4.2564
_cell_length_c 8.5584
_cell_angle_alpha 90.00
_cell_angle_beta 103.77
_cell_angle_gamma 90.00
_space_group_name_H-M_alt 'C 1 2/m 1'
_space_group_IT_number 12
_space_group_name_Hall '-C 2y'
loop_
_atom_site_label
_atom_site_fract_x
_atom_site_fract_y
_atom_site_fract_z
_atom_site_occupancy
Sm1 0.0012 0.0000 0.2342 1
Sm2 0.1644 0.5000 0.0899 1
Sm3 0.1731 0.5000 0.5792 1
Bi1 0.0000 0.5000 0.5000 1
As1 0.0000 0.5000 0.0000 1
As2 0.1657 0.0000 0.3313 1
Se1 0.1686 0.0000 0.8362 1
```

Principal peaks in the range 2θ from 10° to 80°, sorted by position:
- hkl 1 1 -2, 2θ 29.6, I = 100
- hkl 7 1 -2, 2θ 42.2, I = 37
- hkl 0 2 0, 2θ 42.5, I = 38
- hkl 8 0 -4, 2θ 52.2, I = 6
- hkl 6 2 0, 2θ 52.7, I = 20
- hkl 2 2 -4, 2θ 61.4, I = 8
- hkl 8 2 -4, 2θ 69.5, I = 16
- hkl 1 3 -2, 2θ 69.9, I = 17
- hkl 7 3 -2, 2θ 77.6, I = 12
- hkl 5 3 2, 2θ 77.8, I = 6


# 7
Diffraction record for Sm3BiAs2. The powder XRD pattern is computed, not measured: it uses a crystal structure in Alexandria, relaxed with GGA-PBE and Cu Kα.
Neutral-atom scattering factors, no anomalous dispersion.

Atomic structure:
```
data_Sm3BiAs2
_chemical_formula_sum 'Sm6 Bi2 As4'
_cell_length_a 5.2242
_cell_length_b 10.2042
_cell_length_c 6.8833
_cell_angle_alpha 90.00
_cell_angle_beta 112.22
_cell_angle_gamma 90.00
_space_group_name_H-M_alt 'P 1 21/m 1'
_space_group_IT_number 11
_space_group_name_Hall '-P 2yb'
loop_
_atom_site_label
_atom_site_fract_x
_atom_site_fract_y
_atom_site_fract_z
_atom_site_occupancy
Sm1 0.0996 0.2500 0.2005 1
Sm2 0.3737 0.0475 0.7466 1
Bi1 0.2178 0.7500 0.4351 1
As1 0.0000 0.0000 0.0000 1
As2 0.4683 0.7500 0.9355 1
```

Principal peaks in the range 2θ from 10° to 80°, sorted by position:
- hkl 1 2 0, 2θ 25.4, I = 26
- hkl 1 1 1, 2θ 28.5, I = 62
- hkl 0 1 2, 2θ 29.4, I = 24
- hkl 0 3 1, 2θ 29.8, I = 28
- hkl 1 3 0, 2θ 32.2, I = 37
- hkl 1 2 -2, 2θ 32.3, I = 100
- hkl 2 0 -1, 2θ 34.3, I = 59
- hkl 0 4 0, 2θ 35.2, I = 33
- hkl 2 4 -1, 2θ 50.0, I = 24
- hkl 1 5 1, 2θ 52.7, I = 33


# 8
Diffraction record for SmBiAs. The powder XRD pattern is computed, not measured: it uses a crystal structure in Alexandria, relaxed with GGA-PBE and Cu Kα.
Neutral-atom scattering factors, no anomalous dispersion.

Atomic structure:
```
data_SmBiAs
_chemical_formula_sum 'Sm4 Bi4 As4'
_cell_length_a 4.3122
_cell_length_b 4.3122
_cell_length_c 21.8805
_cell_angle_alpha 90.00
_cell_angle_beta 90.00
_cell_angle_gamma 120.00
_space_group_name_H-M_alt 'P 63/m m c'
_space_group_IT_number 194
_space_group_name_Hall '-P 6c 2c'
loop_
_atom_site_label
_atom_site_fract_x
_atom_site_fract_y
_atom_site_fract_z
_atom_site_occupancy
Sm1 0.3333 0.6667 0.0922 1
Bi1 0.0000 0.0000 0.0000 1
Bi2 0.0000 0.0000 0.2500 1
As1 0.3333 0.6667 0.6661 1
```

Principal peaks in the range 2θ from 10° to 80°, sorted by position:
- hkl 1 0 3, 2θ 26.8, I = 26
- hkl 1 0 4, 2θ 28.9, I = 100
- hkl 1 0 7, 2θ 37.5, I = 17
- hkl 1 0 8, 2θ 40.9, I = 28
- hkl 1 1 0, 2θ 41.9, I = 46
- hkl 2 0 4, 2θ 51.7, I = 21
- hkl 2 0 8, 2θ 60.0, I = 9
- hkl 1 1 12, 2θ 67.2, I = 20
- hkl 2 1 4, 2θ 68.7, I = 18
- hkl 2 1 8, 2θ 75.8, I = 10


# 9
Diffraction record for Sn4BiAs5. The powder XRD pattern is computed, not measured: it uses a crystal structure in Alexandria, relaxed with GGA-PBE and Cu Kα.
Neutral-atom scattering factors, no anomalous dispersion.

Atomic structure:
```
data_Sn4BiAs5
_chemical_formula_sum 'Sn8 Bi2 As10'
_cell_length_a 4.9253
_cell_length_b 4.9253
_cell_length_c 29.1429
_cell_angle_alpha 90.00
_cell_angle_beta 90.00
_cell_angle_gamma 120.00
_space_group_name_H-M_alt 'P -6 m 2'
_space_group_IT_number 187
_space_group_name_Hall 'P -6 2'
loop_
_atom_site_label
_atom_site_fract_x
_atom_site_fract_y
_atom_site_fract_z
_atom_site_occupancy
Sn1 0.0000 0.0000 0.0000 1
Sn2 0.0000 0.0000 0.1961 1
Sn3 0.3333 0.6667 0.0984 1
Sn4 0.3333 0.6667 0.2951 1
Sn5 0.3333 0.6667 0.5000 1
Bi1 0.0000 0.0000 0.3974 1
As1 0.0000 0.0000 0.0977 1
As2 0.0000 0.0000 0.2937 1
As3 0.0000 0.0000 0.5000 1
As4 0.3333 0.6667 0.0000 1
As5 0.3333 0.6667 0.1962 1
As6 0.3333 0.6667 0.3974 1
```

Principal peaks in the range 2θ from 10° to 80°, sorted by position:
- hkl 1 0 0, 2θ 20.8, I = 100
- hkl 1 0 5, 2θ 25.9, I = 27
- hkl 0 0 10, 2θ 30.7, I = 48
- hkl 1 1 0, 2θ 36.5, I = 95
- hkl 1 0 10, 2θ 37.4, I = 44
- hkl 1 1 10, 2θ 48.4, I = 83
- hkl 3 0 0, 2θ 65.7, I = 18
- hkl 2 1 10, 2θ 66.3, I = 17
- hkl 3 0 10, 2θ 74.2, I = 24
- hkl 1 1 20, 2θ 75.9, I = 20


# 10
Diffraction record for Sn5BiAs4. The powder XRD pattern is computed, not measured: it uses a crystal structure in Alexandria, relaxed with GGA-PBE and Cu Kα.
Neutral-atom scattering factors, no anomalous dispersion.

Atomic structure:
```
data_Sn5BiAs4
_chemical_formula_sum 'Sn10 Bi2 As8'
_cell_length_a 4.1992
_cell_length_b 4.1992
_cell_length_c 46.2676
_cell_angle_alpha 90.00
_cell_angle_beta 90.00
_cell_angle_gamma 120.00
_space_group_name_H-M_alt 'P 3 m 1'
_space_group_IT_number 156
_space_group_name_Hall 'P 3 -2"'
loop_
_atom_site_label
_atom_site_fract_x
_atom_site_fract_y
_atom_site_fract_z
_atom_site_occupancy
Sn1 0.0000 0.0000 0.0000 1
Sn2 0.0000 0.0000 0.1946 1
Sn3 0.0000 0.0000 0.3918 1
Sn4 0.0000 0.0000 0.5884 1
Sn5 0.0000 0.0000 0.7951 1
Sn6 0.3333 0.6667 0.1088 1
Sn7 0.3333 0.6667 0.3060 1
Sn8 0.3333 0.6667 0.5026 1
Sn9 0.3333 0.6667 0.7089 1
Sn10 0.3333 0.6667 0.9140 1
Bi1 0.0000 0.0000 0.6737 1
Bi2 0.0000 0.0000 0.8787 1
As1 0.0000 0.0000 0.0829 1
As2 0.0000 0.0000 0.2802 1
As3 0.0000 0.0000 0.4768 1
As4 0.3333 0.6667 0.1664 1
As5 0.3333 0.6667 0.3636 1
As6 0.3333 0.6667 0.5604 1
As7 0.3333 0.6667 0.7669 1
As8 0.3333 0.6667 0.9717 1
```

Principal peaks in the range 2θ from 10° to 80°, sorted by position:
- hkl 0 0 10, 2θ 19.2, I = 72
- hkl 1 0 0, 2θ 24.5, I = 100
- hkl 0 1 5, 2θ 26.3, I = 83
- hkl 0 1 10, 2θ 31.3, I = 78
- hkl 1 0 15, 2θ 38.3, I = 97
- hkl 1 1 0, 2θ 43.1, I = 84
- hkl 1 0 20, 2θ 46.5, I = 38
- hkl 1 1 10, 2θ 47.6, I = 42
- hkl 0 2 15, 2θ 59.0, I = 28
- hkl 2 1 15, 2θ 75.8, I = 27


# 11
Diffraction record for Sr4BiAs2. The powder XRD pattern is computed, not measured: it uses a crystal structure in Alexandria, relaxed with GGA-PBE and Cu Kα.
Neutral-atom scattering factors, no anomalous dispersion.

Atomic structure:
```
data_Sr4BiAs2
_chemical_formula_sum 'Sr16 Bi4 As8'
_cell_length_a 9.7996
_cell_length_b 9.7996
_cell_length_c 9.6617
_cell_angle_alpha 90.00
_cell_angle_beta 90.00
_cell_angle_gamma 90.00
_space_group_name_H-M_alt 'I -4 2 d'
_space_group_IT_number 122
_space_group_name_Hall 'I -4 2bw'
loop_
_atom_site_label
_atom_site_fract_x
_atom_site_fract_y
_atom_site_fract_z
_atom_site_occupancy
Sr1 0.0717 0.6741 0.4353 1
Bi1 0.0000 0.0000 0.5000 1
As1 0.1261 0.7500 0.1250 1
```

Principal peaks in the range 2θ from 10° to 80°, sorted by position:
- hkl 1 0 1, 2θ 12.9, I = 15
- hkl 2 1 1, 2θ 22.3, I = 25
- hkl 3 0 1, 2θ 28.8, I = 100
- hkl 1 0 3, 2θ 29.2, I = 64
- hkl 3 2 1, 2θ 34.3, I = 43
- hkl 3 1 2, 2θ 34.4, I = 59
- hkl 2 1 3, 2θ 34.6, I = 16
- hkl 6 1 1, 2θ 58.1, I = 23
- hkl 6 2 0, 2θ 59.7, I = 15
- hkl 5 5 2, 2θ 70.7, I = 14


# 12
Diffraction record for Sr2ZnBiAs. The powder XRD pattern is computed, not measured: it uses a crystal structure in Alexandria, relaxed with GGA-PBE and Cu Kα.
Neutral-atom scattering factors, no anomalous dispersion.

Atomic structure:
```
data_Sr2ZnBiAs
_chemical_formula_sum 'Sr4 Zn2 Bi2 As2'
_cell_length_a 7.8045
_cell_length_b 4.5762
_cell_length_c 9.5959
_cell_angle_alpha 90.00
_cell_angle_beta 106.57
_cell_angle_gamma 90.00
_space_group_name_H-M_alt 'P 1 21/m 1'
_space_group_IT_number 11
_space_group_name_Hall '-P 2yb'
loop_
_atom_site_label
_atom_site_fract_x
_atom_site_fract_y
_atom_site_fract_z
_atom_site_occupancy
Sr1 0.1951 0.2500 0.3970 1
Sr2 0.2286 0.2500 0.9738 1
Zn1 0.4873 0.7500 0.2621 1
Bi1 0.3017 0.7500 0.6990 1
As1 0.1691 0.7500 0.1773 1
```

Principal peaks in the range 2θ from 10° to 80°, sorted by position:
- hkl 1 0 -2, 2θ 19.6, I = 31
- hkl 2 0 0, 2θ 23.8, I = 51
- hkl 0 1 2, 2θ 27.5, I = 71
- hkl 1 1 -2, 2θ 27.7, I = 100
- hkl 1 1 2, 2θ 32.2, I = 44
- hkl 2 1 -2, 2θ 32.7, I = 40
- hkl 2 1 1, 2θ 34.5, I = 46
- hkl 1 0 -4, 2θ 37.5, I = 41
- hkl 0 2 0, 2θ 39.4, I = 47
- hkl 3 1 -1, 2θ 39.9, I = 37


What did the fourth record say?
Diffraction record for Sm6Bi2SbAs3. The powder XRD pattern is computed, not measured: it uses a crystal structure in Alexandria, relaxed with GGA-PBE and Cu Kα.
Neutral-atom scattering factors, no anomalous dispersion.

Atomic structure:
```
data_Sm6Bi2SbAs3
_chemical_formula_sum 'Sm12 Bi4 Sb2 As6'
_cell_length_a 19.1147
_cell_length_b 4.3463
_cell_length_c 8.7857
_cell_angle_alpha 90.00
_cell_angle_beta 104.21
_cell_angle_gamma 90.00
_space_group_name_H-M_alt 'C 1 2/m 1'
_space_group_IT_number 12
_space_group_name_Hall '-C 2y'
loop_
_atom_site_label
_atom_site_fract_x
_atom_site_fract_y
_atom_site_fract_z
_atom_site_occupancy
Sm1 0.0049 0.0000 0.2421 1
Sm2 0.1610 0.5000 0.0960 1
Sm3 0.1700 0.5000 0.5700 1
Bi1 0.1669 0.0000 0.8338 1
Sb1 0.0000 0.5000 0.5000 1
As1 0.0000 0.5000 0.0000 1
As2 0.1668 0.0000 0.3338 1
```

Principal peaks in the range 2θ from 10° to 80°, sorted by position:
- hkl 6 0 0, 2θ 28.9, I = 100
- hkl 5 1 -1, 2θ 31.5, I = 7
- hkl 7 1 -2, 2θ 41.1, I = 37
- hkl 5 1 2, 2θ 41.6, I = 38
- hkl 6 2 0, 2θ 51.4, I = 20
- hkl 2 2 -4, 2θ 59.9, I = 12
- hkl 8 2 -4, 2θ 67.5, I = 16
- hkl 4 2 4, 2θ 68.2, I = 17
- hkl 3 1 6, 2θ 75.5, I = 12
- hkl 5 3 2, 2θ 75.9, I = 7